No. 1
Diffraction record for YBi2C. The X-ray powder pattern is theoretical, not measured: it uses a crystal structure in the Materials Project, relaxed with GGA-PBE and Cu Ka.
Peak positions follow from Bragg's law for the DFT cell and can differ from measured ones.

Peak list (10 most intense, 5 to 70 degrees two-theta, in order of rising 2θ)
d_spacing  Rel. int.
3.818  48
3.198  93
2.883  100
2.840  40
2.787  63
2.488  69
2.124  65
2.023  39
1.719  31
1.471  36

Crystal structure
a b c (Å): 11.5323 11.5323 5.6805
angles (deg): 90.00 90.00 90.00
Space group P4_2/mbc (No. 135)
Unique sites:
Y 0.1644 0.3356 0.2500
Bi 0.0679 0.1200 0.0000
Bi 0.1092 0.6097 0.5000
C 0.0786 0.1437 0.5000

***

No. 2
Diffraction record for CaBi3. The X-ray powder pattern is theoretical, not measured: it uses a crystal structure in the Materials Project, relaxed with GGA-PBE and Cu Ka.
Peak positions follow from Bragg's law for the DFT cell and can differ from measured ones.

Peak list (10 most intense, 5 to 70 degrees two-theta, in order of rising 2θ)
d_spacing  Rel. int.
4.997  17
3.533  15
2.885  100
2.498  51
2.235  9
2.040  7
1.767  37
1.666  5
1.507  44
1.442  13

Crystal structure
a b c (Å): 4.9969 4.9969 4.9969
angles (deg): 90.00 90.00 90.00
Space group Pm-3m (No. 221)
Unique sites:
Ca 0.0000 0.0000 0.0000
Bi 0.0000 0.5000 0.5000

***

No. 3
Diffraction record for Ca2Bi. The X-ray powder pattern is theoretical, not measured: it uses a crystal structure in the Materials Project, relaxed with GGA-PBE and Cu Ka.
Peak positions follow from Bragg's law for the DFT cell and can differ from measured ones.

Peak list (10 most intense, 5 to 70 degrees two-theta, in order of rising 2θ)
d_spacing  Rel. int.
4.694  79
4.243  34
3.697  59
3.454  63
2.678  100
2.442  50
2.172  31
2.038  26
1.622  30
1.451  30

Crystal structure
a b c (Å): 4.8842 4.8842 16.9704
angles (deg): 90.00 90.00 90.00
Space group I4/mmm (No. 139)
Unique sites:
Ca 0.0000 0.0000 0.1733
Ca 0.0000 0.5000 0.0000
Bi 0.0000 0.0000 0.3633

***

No. 4
Diffraction record for Ca5Bi3. The X-ray powder pattern is theoretical, not measured: it uses a crystal structure in the Materials Project, relaxed with GGA-PBE and Cu Ka.
Peak positions follow from Bragg's law for the DFT cell and can differ from measured ones.

Peak list (10 most intense, 5 to 70 degrees two-theta, in order of rising 2θ)
d_spacing  Rel. int.
4.024  100
3.891  46
3.821  89
3.109  51
3.011  35
2.867  50
2.684  35
2.445  35
2.287  34
2.060  32

Crystal structure
a b c (Å): 12.8413 9.7817 8.4820
angles (deg): 90.00 90.00 90.00
Space group Pnma (No. 62)
Unique sites:
Ca 0.0054 0.2500 0.0351
Ca 0.0761 0.0436 0.6932
Ca 0.2092 0.7500 0.3493
Ca 0.2289 0.2500 0.3199
Bi 0.0162 0.7500 0.5787
Bi 0.1709 0.5129 0.0649

***

No. 5
Diffraction record for Ca3Bi2. The X-ray powder pattern is theoretical, not measured: it uses a crystal structure in the Materials Project, relaxed with GGA-PBE and Cu Ka.
Peak positions follow from Bragg's law for the DFT cell and can differ from measured ones.

Peak list (10 most intense, 5 to 70 degrees two-theta, in order of rising 2θ)
d_spacing  Rel. int.
4.165  100
3.401  5
2.945  46
2.405  50
2.082  35
1.863  24
1.700  12
1.574  29
1.473  6
1.388  14

Crystal structure
a b c (Å): 5.8900 5.8900 5.8900
angles (deg): 90.00 90.00 90.00
Space group Pm-3m (No. 221)
Unique sites:
Ca 0.0000 0.0000 0.5000
Bi 0.0000 0.0000 0.0000
Bi 0.5000 0.5000 0.5000

***

No. 6
Diffraction record for Ca11Bi10. The X-ray powder pattern is theoretical, not measured: it uses a crystal structure in the Materials Project, relaxed with GGA-PBE and Cu Ka.
Peak positions follow from Bragg's law for the DFT cell and can differ from measured ones.

Peak list (10 most intense, 5 to 70 degrees two-theta, in order of rising 2θ)
d_spacing  Rel. int.
4.055  45
4.019  100
3.926  43
2.977  78
2.944  36
2.920  99
2.702  55
2.285  55
2.084  36
2.064  47

Crystal structure
a b c (Å): 12.3730 12.3730 17.8809
angles (deg): 90.00 90.00 90.00
Space group I4/mmm (No. 139)
Unique sites:
Ca 0.0000 0.0000 0.1644
Ca 0.0000 0.2507 0.3092
Ca 0.0000 0.3414 0.1035
Ca 0.1601 0.1601 0.5000
Bi 0.0000 0.0000 0.3720
Bi 0.0000 0.3478 0.5000
Bi 0.0000 0.5000 0.2500
Bi 0.1309 0.1309 0.0000
Bi 0.2045 0.2045 0.1725